[1]
# Y2Si9Ir3
Theoretical powder XRD pattern, CuKα. Input: a DFT-relaxed cell (PBE, Alexandria).
Intensities are scaled so that the largest is 100.

Top 12 peaks for 10° ≤ 2θ ≤ 90°, sorted by position:
(0 0 2), 2θ = 19.6°, I = 71; (0 2 0), 2θ = 23.2°, I = 41; (3 1 -1), 2θ = 23.9°, I = 100; (0 2 2), 2θ = 30.5°, I = 97; (3 1 -3), 2θ = 31.0°, I = 98; (3 1 1), 2θ = 31.2°, I = 92; (0 0 4), 2θ = 39.7°, I = 46; (3 3 -1), 2θ = 41.2°, I = 90; (6 0 -2), 2θ = 42.5°, I = 47; (3 3 1), 2θ = 46.0°, I = 25; (3 1 -5), 2θ = 46.8°, I = 28; (6 0 -4), 2θ = 47.0°, I = 42

```
data_Y2Si9Ir3
_chemical_formula_sum 'Y8 Si36 Ir12'
_cell_length_a 12.7731
_cell_length_b 7.6743
_cell_length_c 10.0522
_cell_angle_alpha 90.00
_cell_angle_beta 115.52
_cell_angle_gamma 90.00
_symmetry_space_group_name_H-M 'C 1 2/c 1'
_symmetry_Int_Tables_number 15
_symmetry_space_group_name_Hall '-C 2yc'
loop_
_atom_site_label
_atom_site_type_symbol
_atom_site_fract_x
_atom_site_fract_y
_atom_site_fract_z
Y1 Y 0.1523 0.0744 0.2574
Si1 Si 0.0000 0.3962 0.2500
Si2 Si 0.0586 0.0840 0.9460
Si3 Si 0.0954 0.3165 0.7510
Si4 Si 0.1136 0.4125 0.0871
Si5 Si 0.2255 0.4219 0.4124
Ir1 Ir 0.0884 0.2849 0.5029
Ir2 Ir 0.2500 0.2500 0.0000
```

***

[2]
# Li2ZnCu5Ni2
Theoretical powder XRD pattern, CuKα. Input: a DFT-relaxed cell (PBE, Alexandria).
Intensities are scaled so that the largest is 100.

Top 12 peaks for 10° ≤ 2θ ≤ 90°, sorted by position:
(2 0 0), 2θ = 22.0°, I = 19; (0 0 1), 2θ = 22.6°, I = 13; (2 1 0), 2θ = 24.6°, I = 58; (2 2 1), 2θ = 38.9°, I = 14; (3 1 1), 2θ = 42.1°, I = 100; (0 0 2), 2θ = 46.2°, I = 52; (3 2 1), 2θ = 46.6°, I = 53; (4 2 0), 2θ = 50.4°, I = 13; (4 1 1), 2θ = 52.1°, I = 16; (2 1 2), 2θ = 53.0°, I = 13; (4 1 2), 2θ = 67.4°, I = 11; (3 1 3), 2θ = 82.7°, I = 12

```
data_Li2ZnCu5Ni2
_chemical_formula_sum 'Li4 Zn2 Cu10 Ni4'
_cell_length_a 8.0923
_cell_length_b 8.0923
_cell_length_c 3.9314
_cell_angle_alpha 90.00
_cell_angle_beta 90.00
_cell_angle_gamma 90.00
_symmetry_space_group_name_H-M 'P 4/m b m'
_symmetry_Int_Tables_number 127
_symmetry_space_group_name_Hall '-P 4 2ab'
loop_
_atom_site_label
_atom_site_type_symbol
_atom_site_fract_x
_atom_site_fract_y
_atom_site_fract_z
Li1 Li 0.1755 0.3245 0.0000
Zn1 Zn 0.0000 0.0000 0.0000
Cu1 Cu 0.0000 0.5000 0.5000
Cu2 Cu 0.0760 0.7977 0.5000
Ni1 Ni 0.1194 0.6194 0.0000
```

***

[3]
# Pr2RuC4
Theoretical powder XRD pattern, CuKα. Input: a DFT-relaxed cell (PBE, Alexandria).
Intensities are scaled so that the largest is 100.

Top 12 peaks for 10° ≤ 2θ ≤ 90°, sorted by position:
(1 2 1), 2θ = 26.6°, I = 94; (1 3 0), 2θ = 29.0°, I = 84; (2 1 1), 2θ = 29.3°, I = 100; (0 0 2), 2θ = 32.8°, I = 21; (3 1 0), 2θ = 35.3°, I = 46; (1 1 2), 2θ = 35.9°, I = 51; (2 0 2), 2θ = 40.2°, I = 22; (0 4 2), 2θ = 49.3°, I = 33; (2 5 1), 2θ = 53.9°, I = 25; (0 6 0), 2θ = 54.9°, I = 24; (3 3 2), 2θ = 55.8°, I = 51; (4 0 2), 2θ = 57.7°, I = 21

```
data_Pr2RuC4
_chemical_formula_sum 'Pr8 Ru4 C16'
_cell_length_a 7.8879
_cell_length_b 10.0462
_cell_length_c 5.4608
_cell_angle_alpha 90.00
_cell_angle_beta 90.00
_cell_angle_gamma 90.00
_symmetry_space_group_name_H-M 'I b a m'
_symmetry_Int_Tables_number 72
_symmetry_space_group_name_Hall '-I 2 2c'
loop_
_atom_site_label
_atom_site_type_symbol
_atom_site_fract_x
_atom_site_fract_y
_atom_site_fract_z
Pr1 Pr 0.1508 0.1499 0.0000
Ru1 Ru 0.0000 0.5000 0.2500
C1 C 0.1681 0.1234 0.5000
C2 C 0.1709 0.4255 0.0000
```

***

[4]
# La6TbEr2
Theoretical powder XRD pattern, CuKα. Input: a DFT-relaxed cell (PBE, Alexandria).
Intensities are scaled so that the largest is 100.

Top 12 peaks for 10° ≤ 2θ ≤ 90°, sorted by position:
(3 1 0), 2θ = 28.7°, I = 35; (0 6 0), 2θ = 30.0°, I = 100; (2 2 1), 2θ = 32.3°, I = 31; (2 4 1), 2θ = 36.8°, I = 18; (3 5 0), 2θ = 38.0°, I = 19; (0 0 2), 2θ = 49.3°, I = 9; (2 8 1), 2θ = 51.5°, I = 10; (1 9 1), 2θ = 53.2°, I = 12; (5 3 1), 2θ = 56.7°, I = 15; (3 1 2), 2θ = 58.0°, I = 10; (0 6 2), 2θ = 58.8°, I = 11; (3 5 2), 2θ = 63.9°, I = 8

```
data_La6TbEr2
_chemical_formula_sum 'La12 Tb2 Er4'
_cell_length_a 9.4818
_cell_length_b 17.8765
_cell_length_c 3.6963
_cell_angle_alpha 90.00
_cell_angle_beta 90.00
_cell_angle_gamma 90.00
_symmetry_space_group_name_H-M 'C m m m'
_symmetry_Int_Tables_number 65
_symmetry_space_group_name_Hall '-C 2 2'
loop_
_atom_site_label
_atom_site_type_symbol
_atom_site_fract_x
_atom_site_fract_y
_atom_site_fract_z
La1 La 0.1721 0.1663 0.0000
La2 La 0.1774 0.0000 0.5000
Tb1 Tb 0.0000 0.5000 0.0000
Er1 Er 0.0000 0.3270 0.5000
```

***

[5]
# Tb12Co6Os
Theoretical powder XRD pattern, CuKα. Input: a DFT-relaxed cell (PBE, Alexandria).
Intensities are scaled so that the largest is 100.

Top 12 peaks for 10° ≤ 2θ ≤ 90°, sorted by position:
(3 0 1), 2θ = 29.7°, I = 39; (2 2 2), 2θ = 32.6°, I = 57; (3 1 2), 2θ = 35.3°, I = 100; (4 0 0), 2θ = 37.8°, I = 23; (3 3 0), 2θ = 40.2°, I = 11; (5 0 1), 2θ = 48.8°, I = 19; (5 3 0), 2θ = 56.4°, I = 35; (6 0 0), 2θ = 58.2°, I = 10; (5 2 3), 2θ = 59.9°, I = 36; (5 3 4), 2θ = 69.9°, I = 21; (8 2 2), 2θ = 86.8°, I = 15; (7 0 5), 2θ = 88.3°, I = 16

```
data_Tb12Co6Os
_chemical_formula_sum 'Tb24 Co12 Os2'
_cell_length_a 9.5182
_cell_length_b 9.5182
_cell_length_c 9.5182
_cell_angle_alpha 90.00
_cell_angle_beta 90.00
_cell_angle_gamma 90.00
_symmetry_space_group_name_H-M 'I m -3'
_symmetry_Int_Tables_number 204
_symmetry_space_group_name_Hall '-I 2 2 3'
loop_
_atom_site_label
_atom_site_type_symbol
_atom_site_fract_x
_atom_site_fract_y
_atom_site_fract_z
Tb1 Tb 0.0000 0.2946 0.1894
Co1 Co 0.0000 0.1157 0.5000
Os1 Os 0.0000 0.0000 0.0000
```

***

[6]
# Tb2Re3Tc
Theoretical powder XRD pattern, CuKα. Input: a DFT-relaxed cell (PBE, Alexandria).
Intensities are scaled so that the largest is 100.

Top 12 peaks for 10° ≤ 2θ ≤ 90°, sorted by position:
(0 0 1), 2θ = 19.6°, I = 26; (1 1 1), 2θ = 32.6°, I = 70; (1 1 -2), 2θ = 38.3°, I = 49; (2 0 1), 2θ = 38.4°, I = 24; (0 2 1), 2θ = 39.0°, I = 94; (3 1 0), 2θ = 39.1°, I = 46; (2 2 -1), 2θ = 39.3°, I = 81; (4 0 -1), 2θ = 39.4°, I = 40; (0 0 2), 2θ = 39.7°, I = 37; (2 2 0), 2θ = 41.1°, I = 100; (2 2 2), 2θ = 68.4°, I = 33; (6 2 -2), 2θ = 70.2°, I = 30

```
data_Tb2Re3Tc
_chemical_formula_sum 'Tb4 Re6 Tc2'
_cell_length_a 9.2774
_cell_length_b 5.3702
_cell_length_c 5.5055
_cell_angle_alpha 90.00
_cell_angle_beta 124.45
_cell_angle_gamma 90.00
_symmetry_space_group_name_H-M 'C 1 2/m 1'
_symmetry_Int_Tables_number 12
_symmetry_space_group_name_Hall '-C 2y'
loop_
_atom_site_label
_atom_site_type_symbol
_atom_site_fract_x
_atom_site_fract_y
_atom_site_fract_z
Tb1 Tb 0.1252 0.0000 0.3755
Re1 Re 0.0000 0.5000 0.0000
Re2 Re 0.2500 0.2500 0.0000
Tc1 Tc 0.0000 0.5000 0.5000
```

***

[7]
# SrAl2Si2O8
Theoretical powder XRD pattern, CuKα. Input: a DFT-relaxed cell (PBE, Alexandria).
Intensities are scaled so that the largest is 100.

Top 12 peaks for 10° ≤ 2θ ≤ 90°, sorted by position:
(0 0 2), 2θ = 11.5°, I = 21; (0 1 2), 2θ = 22.7°, I = 100; (0 1 4), 2θ = 30.4°, I = 75; (1 1 0), 2θ = 34.2°, I = 50; (1 0 6), 2θ = 40.4°, I = 13; (2 0 2), 2θ = 41.5°, I = 28; (1 1 6), 2θ = 49.7°, I = 23; (2 1 2), 2θ = 54.8°, I = 18; (2 1 4), 2θ = 58.9°, I = 19; (1 1 8), 2θ = 59.6°, I = 16; (3 0 0), 2θ = 61.3°, I = 17; (3 1 4), 2θ = 80.2°, I = 11

```
data_SrAl2Si2O8
_chemical_formula_sum 'Sr2 Al4 Si4 O16'
_cell_length_a 5.2420
_cell_length_b 5.2420
_cell_length_c 15.4083
_cell_angle_alpha 90.00
_cell_angle_beta 90.00
_cell_angle_gamma 120.00
_symmetry_space_group_name_H-M 'P -3 c 1'
_symmetry_Int_Tables_number 165
_symmetry_space_group_name_Hall '-P 3 2"c'
loop_
_atom_site_label
_atom_site_type_symbol
_atom_site_fract_x
_atom_site_fract_y
_atom_site_fract_z
Sr1 Sr 0.0000 0.0000 0.0000
Al1 Al 0.3333 0.6667 0.3548
Si1 Si 0.3333 0.6667 0.1399
O1 O 0.0122 0.4097 0.1010
O2 O 0.3333 0.6667 0.2436
```

***

- What is the formula in the sixth record?
  Tb2Re3Tc